Diffraction record for SmDyPu2Bi4. The X-ray diffraction stick pattern is calculated, not measured: it uses the PBE geometry in Alexandria and Cu Kα.
Intensities are scaled so that the largest is 100.

Most intense lines, 2θ = 10–80°, low angle first:
two_theta, I_rel
11.96, 2
23.03, 1
27.86, 100
30.42, 1
39.81, 79
41.72, 1
49.29, 29
57.57, 14
65.14, 38
72.27, 28

Atomic structure:
```
data_SmDyPu2Bi4
_space_group_name_H-M_alt 'P 1'
_space_group_IT_number 1
_cell_length_a 7.8443
_cell_length_b 4.5265
_cell_length_c 7.8466
_cell_angle_alpha 90.00
_cell_angle_beta 109.46
_cell_angle_gamma 90.00
loop_
_space_group_symop_operation_xyz
'x,y,z'
loop_
_atom_site_label
_atom_site_type_symbol
_atom_site_fract_x
_atom_site_fract_y
_atom_site_fract_z
_atom_site_occupancy
Sm1 Sm 0.0000 0.0000 0.0000 1
Dy1 Dy 0.5000 0.5000 0.0000 1
Pu1 Pu 0.0000 0.5000 0.5000 1
Pu2 Pu 0.5000 0.0000 0.5000 1
Bi1 Bi 0.2527 0.0000 0.7505 1
Bi2 Bi 0.2530 0.5000 0.2513 1
Bi3 Bi 0.7473 0.0000 0.2495 1
Bi4 Bi 0.7470 0.5000 0.7487 1
```



Diffraction record for DyTm2PuBi4. The X-ray diffraction stick pattern is calculated, not measured: it uses the PBE geometry in Alexandria and Cu Kα.
Intensities are scaled so that the largest is 100.

Most intense lines, 2θ = 10–80°, low angle first:
two_theta, I_rel
23.32, 1
24.37, 1
28.21, 100
30.80, 1
40.32, 78
49.94, 29
58.35, 14
66.05, 38
73.31, 28

Atomic structure:
```
data_DyTm2PuBi4
_space_group_name_H-M_alt 'P 1'
_space_group_IT_number 1
_cell_length_a 7.7448
_cell_length_b 4.4749
_cell_length_c 7.7463
_cell_angle_alpha 90.00
_cell_angle_beta 109.43
_cell_angle_gamma 90.00
loop_
_space_group_symop_operation_xyz
'x,y,z'
loop_
_atom_site_label
_atom_site_type_symbol
_atom_site_fract_x
_atom_site_fract_y
_atom_site_fract_z
_atom_site_occupancy
Dy1 Dy 0.0000 0.0000 0.0000 1
Tm1 Tm 0.5000 0.0000 0.5000 1
Tm2 Tm 0.5000 0.5000 0.0000 1
Pu1 Pu 0.0000 0.5000 0.5000 1
Bi1 Bi 0.2545 0.5000 0.2500 1
Bi2 Bi 0.2556 0.0000 0.7534 1
Bi3 Bi 0.7444 0.0000 0.2466 1
Bi4 Bi 0.7455 0.5000 0.7500 1
```



Diffraction record for Dy5Bi4Rh. The X-ray diffraction stick pattern is calculated, not measured: it uses the PBE geometry in Alexandria and Cu Kα.
Intensities are scaled so that the largest is 100.

Most intense lines, 2θ = 10–80°, low angle first:
two_theta, I_rel
28.36, 44
28.89, 100
40.93, 70
41.31, 36
50.87, 33
59.85, 11
66.70, 14
67.53, 13
67.80, 15
75.06, 18

Atomic structure:
```
data_Dy5Bi4Rh
_space_group_name_H-M_alt 'P 1'
_space_group_IT_number 1
_cell_length_a 7.5938
_cell_length_b 7.5938
_cell_length_c 7.5938
_cell_angle_alpha 99.89
_cell_angle_beta 99.89
_cell_angle_gamma 131.04
loop_
_space_group_symop_operation_xyz
'x,y,z'
loop_
_atom_site_label
_atom_site_type_symbol
_atom_site_fract_x
_atom_site_fract_y
_atom_site_fract_z
_atom_site_occupancy
Dy1 Dy 0.0000 0.0000 0.0000 1
Dy2 Dy 0.3428 0.7159 0.8171 1
Dy3 Dy 0.5257 0.3428 0.6269 1
Dy4 Dy 0.7159 0.8988 0.3731 1
Dy5 Dy 0.8988 0.5257 0.1829 1
Bi1 Bi 0.0322 0.8235 0.6111 1
Bi2 Bi 0.2124 0.4211 0.3889 1
Bi3 Bi 0.4211 0.0322 0.2088 1
Bi4 Bi 0.8235 0.2124 0.7912 1
Rh1 Rh 0.5632 0.5632 0.0000 1
```



Diffraction record for Dy2Bi3Rh4. The X-ray diffraction stick pattern is calculated, not measured: it uses the PBE geometry in Alexandria and Cu Kα.
Intensities are scaled so that the largest is 100.

Most intense lines, 2θ = 10–80°, low angle first:
two_theta, I_rel
26.42, 35
30.73, 31
32.50, 80
33.11, 37
37.97, 100
38.21, 27
40.30, 44
41.96, 24
43.39, 24
67.96, 33

Atomic structure:
```
data_Dy2Bi3Rh4
_space_group_name_H-M_alt 'P 1'
_space_group_IT_number 1
_cell_length_a 9.0080
_cell_length_b 9.0080
_cell_length_c 7.3572
_cell_angle_alpha 90.00
_cell_angle_beta 90.00
_cell_angle_gamma 139.77
loop_
_space_group_symop_operation_xyz
'x,y,z'
loop_
_atom_site_label
_atom_site_type_symbol
_atom_site_fract_x
_atom_site_fract_y
_atom_site_fract_z
_atom_site_occupancy
Dy1 Dy 0.0970 0.9030 0.9084 1
Dy2 Dy 0.4030 0.5970 0.4084 1
Dy3 Dy 0.5970 0.4030 0.5916 1
Dy4 Dy 0.9030 0.0970 0.0916 1
Bi1 Bi 0.0000 0.0000 0.5000 1
Bi2 Bi 0.0116 0.4884 0.7500 1
Bi3 Bi 0.4884 0.0116 0.2500 1
Bi4 Bi 0.5000 0.5000 0.0000 1
Bi5 Bi 0.5116 0.9884 0.7500 1
Bi6 Bi 0.9884 0.5116 0.2500 1
Rh1 Rh 0.1606 0.8394 0.5276 1
Rh2 Rh 0.1780 0.3220 0.7500 1
Rh3 Rh 0.3220 0.1780 0.2500 1
Rh4 Rh 0.3394 0.6606 0.0276 1
Rh5 Rh 0.6606 0.3394 0.9724 1
Rh6 Rh 0.6780 0.8220 0.7500 1
Rh7 Rh 0.8220 0.6780 0.2500 1
Rh8 Rh 0.8394 0.1606 0.4724 1
```



Diffraction record for Dy12BiRh6. The X-ray diffraction stick pattern is calculated, not measured: it uses the PBE geometry in Alexandria and Cu Kα.
Intensities are scaled so that the largest is 100.

Most intense lines, 2θ = 10–80°, low angle first:
two_theta, I_rel
28.41, 20
31.19, 33
33.76, 100
36.17, 16
38.44, 10
46.62, 25
53.81, 22
55.50, 13
57.16, 33
66.56, 18

Atomic structure:
```
data_Dy12BiRh6
_space_group_name_H-M_alt 'P 1'
_space_group_IT_number 1
_cell_length_a 8.6035
_cell_length_b 8.6035
_cell_length_c 8.6035
_cell_angle_alpha 109.47
_cell_angle_beta 109.47
_cell_angle_gamma 109.47
loop_
_space_group_symop_operation_xyz
'x,y,z'
loop_
_atom_site_label
_atom_site_type_symbol
_atom_site_fract_x
_atom_site_fract_y
_atom_site_fract_z
_atom_site_occupancy
Dy1 Dy 0.1129 0.3038 0.8091 1
Dy2 Dy 0.1909 0.4947 0.3038 1
Dy3 Dy 0.1909 0.8871 0.6962 1
Dy4 Dy 0.3038 0.1909 0.4947 1
Dy5 Dy 0.3038 0.8091 0.1129 1
Dy6 Dy 0.4947 0.3038 0.1909 1
Dy7 Dy 0.5053 0.6962 0.8091 1
Dy8 Dy 0.6962 0.1909 0.8871 1
Dy9 Dy 0.6962 0.8091 0.5053 1
Dy10 Dy 0.8091 0.1129 0.3038 1
Dy11 Dy 0.8091 0.5053 0.6962 1
Dy12 Dy 0.8871 0.6962 0.1909 1
Bi1 Bi 0.0000 0.0000 0.0000 1
Rh1 Rh 0.1305 0.5000 0.6305 1
Rh2 Rh 0.3695 0.8695 0.5000 1
Rh3 Rh 0.5000 0.3695 0.8695 1
Rh4 Rh 0.5000 0.6305 0.1305 1
Rh5 Rh 0.6305 0.1305 0.5000 1
Rh6 Rh 0.8695 0.5000 0.3695 1
```



Diffraction record for Dy8Bi2Ru3. The X-ray diffraction stick pattern is calculated, not measured: it uses the PBE geometry in Alexandria and Cu Kα.
Intensities are scaled so that the largest is 100.

Most intense lines, 2θ = 10–80°, low angle first:
two_theta, I_rel
21.55, 26
25.78, 10
28.32, 8
34.94, 100
36.78, 51
43.03, 9
44.04, 9
51.73, 9
52.99, 18
65.06, 33

Atomic structure:
```
data_Dy8Bi2Ru3
_space_group_name_H-M_alt 'P 1'
_space_group_IT_number 1
_cell_length_a 9.1014
_cell_length_b 9.1014
_cell_length_c 4.8839
_cell_angle_alpha 90.00
_cell_angle_beta 90.00
_cell_angle_gamma 114.98
loop_
_space_group_symop_operation_xyz
'x,y,z'
loop_
_atom_site_label
_atom_site_type_symbol
_atom_site_fract_x
_atom_site_fract_y
_atom_site_fract_z
_atom_site_occupancy
Dy1 Dy 0.1041 0.8959 0.0000 1
Dy2 Dy 0.1504 0.3608 0.5000 1
Dy3 Dy 0.3608 0.1504 0.5000 1
Dy4 Dy 0.3919 0.6081 0.0000 1
Dy5 Dy 0.6081 0.3919 0.0000 1
Dy6 Dy 0.6392 0.8496 0.5000 1
Dy7 Dy 0.8496 0.6392 0.5000 1
Dy8 Dy 0.8959 0.1041 0.0000 1
Bi1 Bi 0.2434 0.7566 0.5000 1
Bi2 Bi 0.7566 0.2434 0.5000 1
Ru1 Ru 0.2525 0.2525 0.0000 1
Ru2 Ru 0.5000 0.5000 0.5000 1
Ru3 Ru 0.7475 0.7475 0.0000 1
```



Diffraction record for Dy6BiRu2. The X-ray diffraction stick pattern is calculated, not measured: it uses the PBE geometry in Alexandria and Cu Kα.
Intensities are scaled so that the largest is 100.

Most intense lines, 2θ = 10–80°, low angle first:
two_theta, I_rel
26.50, 20
28.02, 21
28.61, 15
32.11, 100
33.48, 34
34.84, 20
36.90, 48
39.70, 18
39.81, 22
63.62, 15

Atomic structure:
```
data_Dy6BiRu2
_space_group_name_H-M_alt 'P 1'
_space_group_IT_number 1
_cell_length_a 5.7224
_cell_length_b 5.7224
_cell_length_c 9.7017
_cell_angle_alpha 99.08
_cell_angle_beta 99.08
_cell_angle_gamma 50.40
loop_
_space_group_symop_operation_xyz
'x,y,z'
loop_
_atom_site_label
_atom_site_type_symbol
_atom_site_fract_x
_atom_site_fract_y
_atom_site_fract_z
_atom_site_occupancy
Dy1 Dy 0.0284 0.0284 0.3369 1
Dy2 Dy 0.2758 0.2758 0.6432 1
Dy3 Dy 0.3358 0.3358 0.1209 1
Dy4 Dy 0.6642 0.6642 0.8791 1
Dy5 Dy 0.7242 0.7242 0.3568 1
Dy6 Dy 0.9716 0.9716 0.6631 1
Bi1 Bi 0.0000 0.0000 0.0000 1
Ru1 Ru 0.3951 0.3951 0.4027 1
Ru2 Ru 0.6049 0.6049 0.5973 1
```



Diffraction record for DyTl2BiS4. The X-ray diffraction stick pattern is calculated, not measured: it uses the PBE geometry in Alexandria and Cu Kα.
Intensities are scaled so that the largest is 100.

Most intense lines, 2θ = 10–80°, low angle first:
two_theta, I_rel
23.80, 31
26.27, 23
26.40, 45
29.81, 100
40.94, 13
41.09, 26
44.18, 23
47.99, 17
54.35, 12
72.43, 15

Atomic structure:
```
data_DyTl2BiS4
_space_group_name_H-M_alt 'P 1'
_space_group_IT_number 1
_cell_length_a 7.1113
_cell_length_b 4.0840
_cell_length_c 7.8372
_cell_angle_alpha 90.00
_cell_angle_beta 107.45
_cell_angle_gamma 90.00
loop_
_space_group_symop_operation_xyz
'x,y,z'
loop_
_atom_site_label
_atom_site_type_symbol
_atom_site_fract_x
_atom_site_fract_y
_atom_site_fract_z
_atom_site_occupancy
Dy1 Dy 0.0000 0.0000 0.0000 1
Tl1 Tl 0.0000 0.5000 0.5000 1
Tl2 Tl 0.5000 0.0000 0.5000 1
Bi1 Bi 0.5000 0.5000 0.0000 1
S1 S 0.2259 0.5000 0.2002 1
S2 S 0.2565 0.0000 0.7943 1
S3 S 0.7435 0.0000 0.2057 1
S4 S 0.7741 0.5000 0.7998 1
```